1.
Structure and theoretical X-ray diffraction stick pattern of Pm2MgPb3 (a structure optimized by DFT (GGA-PBE); Cu Kα X-rays).
No peak broadening, texture or thermal motion is included.

Top 10 peaks for 2θ = 5–70°, low angle first:
- 2θ 22.15, I = 267
- 2θ 27.88, I = 368
- 2θ 29.76, I = 670
- 2θ 30.90, I = 457
- 2θ 34.84, I = 1000
- 2θ 39.84, I = 562
- 2θ 51.26, I = 452
- 2θ 60.69, I = 270
- 2θ 66.82, I = 206
- 2θ 69.12, I = 282

Cell and atoms:
```
Pm2MgPb3
1.0
4.5249 0.0000 0.0000
0.0000 4.5249 0.0000
0.0000 0.0000 8.6803
Pm Mg Pb
2 1 3
direct
0.0000 0.5000 0.1741
0.5000 0.0000 0.8259
0.0000 0.0000 0.5000
0.0000 0.5000 0.7992
0.5000 0.0000 0.2008
0.5000 0.5000 0.5000
```

=====

2.
Structure and theoretical X-ray diffraction stick pattern of Pm4Mg6Pb7 (a structure optimized by DFT (GGA-PBE); Cu Kα X-rays).
No peak broadening, texture or thermal motion is included.

Top 10 peaks for 2θ = 5–70°, low angle first:
- 2θ 22.25, I = 678
- 2θ 31.67, I = 1000
- 2θ 34.29, I = 581
- 2θ 36.73, I = 770
- 2θ 43.37, I = 185
- 2θ 51.12, I = 139
- 2θ 52.93, I = 529
- 2θ 58.10, I = 184
- 2θ 63.00, I = 399
- 2θ 66.15, I = 176

Cell and atoms:
```
Pm4Mg6Pb7
1.0
-4.8932 4.8932 4.8932
4.8932 -4.8932 4.8932
4.8932 4.8932 -4.8932
Pm Mg Pb
4 6 7
direct
0.0000 0.0000 0.5000
0.0000 0.5000 0.0000
0.5000 0.0000 0.0000
0.5000 0.5000 0.5000
0.0000 0.3011 0.3011
0.0000 0.6989 0.6989
0.3011 0.0000 0.3011
0.3011 0.3011 0.0000
0.6989 0.0000 0.6989
0.6989 0.6989 0.0000
0.0000 0.0000 0.0000
0.2500 0.5000 0.7500
0.2500 0.7500 0.5000
0.5000 0.2500 0.7500
0.5000 0.7500 0.2500
0.7500 0.2500 0.5000
0.7500 0.5000 0.2500
```

=====

3.
Structure and theoretical X-ray diffraction stick pattern of Pm5MgPb6 (a structure optimized by DFT (GGA-PBE); Cu Kα X-rays).
No peak broadening, texture or thermal motion is included.

Top 10 peaks for 2θ = 5–70°, low angle first:
- 2θ 31.79, I = 1000
- 2θ 34.49, I = 193
- 2θ 36.57, I = 182
- 2θ 39.41, I = 143
- 2θ 51.15, I = 128
- 2θ 53.36, I = 114
- 2θ 60.11, I = 149
- 2θ 62.86, I = 148
- 2θ 66.43, I = 118
- 2θ 66.72, I = 125

Cell and atoms:
```
Pm5MgPb6
1.0
-2.4568 4.5730 7.8009
2.4568 -4.5730 7.8009
2.4568 4.5730 -7.8009
Pm Mg Pb
5 1 6
direct
0.0000 0.0000 0.0000
0.1667 0.6667 0.5000
0.3499 0.3499 0.0000
0.6501 0.6501 0.0000
0.8333 0.3333 0.5000
0.5000 0.0000 0.5000
0.0809 0.8311 0.2498
0.2488 0.5000 0.7488
0.4187 0.1689 0.2498
0.5813 0.8311 0.7502
0.7512 0.5000 0.2512
0.9191 0.1689 0.7502
```

=====

4.
Structure and theoretical X-ray diffraction stick pattern of Pr2MgPb2 (a structure optimized by DFT (GGA-PBE); Cu Kα X-rays).
No peak broadening, texture or thermal motion is included.

Top 10 peaks for 2θ = 5–70°, low angle first:
- 2θ 23.45, I = 391
- 2θ 24.15, I = 465
- 2θ 26.61, I = 458
- 2θ 30.82, I = 305
- 2θ 31.21, I = 947
- 2θ 34.06, I = 1000
- 2θ 36.82, I = 477
- 2θ 39.85, I = 299
- 2θ 47.96, I = 271
- 2θ 61.97, I = 371

Cell and atoms:
```
Pr2MgPb2
1.0
2.4407 -8.8511 0.0000
2.4407 8.8511 0.0000
0.0000 0.0000 7.3695
Pr Mg Pb
4 2 4
direct
0.0175 0.9825 0.5000
0.2002 0.7998 0.8203
0.7998 0.2002 0.3203
0.9825 0.0175 0.0000
0.3983 0.6017 0.6791
0.6017 0.3983 0.1791
0.1791 0.8209 0.2840
0.4292 0.5708 0.2714
0.5708 0.4292 0.7714
0.8209 0.1791 0.7840
```

=====

5.
Structure and theoretical X-ray diffraction stick pattern of PrMg2Pb2 (a structure optimized by DFT (GGA-PBE); Cu Kα X-rays).
No peak broadening, texture or thermal motion is included.

Top 10 peaks for 2θ = 5–70°, low angle first:
- 2θ 6.98, I = 974
- 2θ 28.18, I = 250
- 2θ 29.18, I = 628
- 2θ 32.50, I = 1000
- 2θ 38.64, I = 202
- 2θ 38.94, I = 198
- 2θ 54.80, I = 159
- 2θ 56.02, I = 139
- 2θ 66.07, I = 132
- 2θ 66.47, I = 137

Cell and atoms:
```
PrMg2Pb2
1.0
2.3132 -12.6661 0.0000
2.3132 12.6661 0.0000
0.0000 0.0000 4.6601
Pr Mg Pb
2 4 4
direct
0.1471 0.8529 0.7500
0.8529 0.1471 0.2500
0.0409 0.9591 0.2500
0.4571 0.5429 0.2500
0.5429 0.4571 0.7500
0.9591 0.0409 0.7500
0.2492 0.7508 0.2500
0.3768 0.6232 0.7500
0.6232 0.3768 0.2500
0.7508 0.2492 0.7500
```

=====

6.
Structure and theoretical X-ray diffraction stick pattern of PrMg2Pb4 (a structure optimized by DFT (GGA-PBE); Cu Kα X-rays).
No peak broadening, texture or thermal motion is included.

Top 10 peaks for 2θ = 5–70°, low angle first:
- 2θ 21.64, I = 249
- 2θ 22.89, I = 176
- 2θ 25.00, I = 437
- 2θ 33.30, I = 1000
- 2θ 34.27, I = 261
- 2θ 36.99, I = 214
- 2θ 40.89, I = 106
- 2θ 51.32, I = 225
- 2θ 60.75, I = 180
- 2θ 64.33, I = 166

Cell and atoms:
```
PrMg2Pb4
1.0
8.2144 0.0000 0.0000
0.0000 10.4676 0.0000
0.0000 0.0000 4.8605
Pr Mg Pb
2 4 8
direct
0.0000 0.0000 0.0000
0.5000 0.5000 0.0000
0.0000 0.2374 0.5000
0.0000 0.7626 0.5000
0.5000 0.2626 0.5000
0.5000 0.7374 0.5000
0.2062 0.5000 0.5000
0.2500 0.2500 0.0000
0.2500 0.7500 0.0000
0.2938 0.0000 0.5000
0.7062 0.0000 0.5000
0.7500 0.2500 0.0000
0.7500 0.7500 0.0000
0.7938 0.5000 0.5000
```

=====

7.
Structure and theoretical X-ray diffraction stick pattern of Pr2MgPb8 (a structure optimized by DFT (GGA-PBE); Cu Kα X-rays).
No peak broadening, texture or thermal motion is included.

Top 10 peaks for 2θ = 5–70°, low angle first:
- 2θ 28.85, I = 201
- 2θ 31.66, I = 127
- 2θ 32.20, I = 1000
- 2θ 36.92, I = 410
- 2θ 38.21, I = 94
- 2θ 49.41, I = 151
- 2θ 53.21, I = 146
- 2θ 54.18, I = 140
- 2θ 58.75, I = 159
- 2θ 63.57, I = 294

Cell and atoms:
```
Pr2MgPb8
1.0
4.8692 0.0000 0.0000
0.0000 4.8692 0.0000
0.0000 0.0000 14.1323
Pr Mg Pb
2 1 8
direct
0.0000 0.0000 0.1721
0.0000 0.0000 0.8279
0.0000 0.0000 0.5000
0.0000 0.5000 0.0000
0.0000 0.5000 0.3626
0.0000 0.5000 0.6374
0.5000 0.0000 0.0000
0.5000 0.0000 0.3626
0.5000 0.0000 0.6374
0.5000 0.5000 0.1861
0.5000 0.5000 0.8139
```

=====

8.
Structure and theoretical X-ray diffraction stick pattern of Pr3Mg2Pb6 (a structure optimized by DFT (GGA-PBE); Cu Kα X-rays).
No peak broadening, texture or thermal motion is included.

Top 10 peaks for 2θ = 5–70°, low angle first:
- 2θ 17.55, I = 395
- 2θ 26.99, I = 940
- 2θ 27.77, I = 382
- 2θ 28.89, I = 375
- 2θ 31.82, I = 710
- 2θ 35.55, I = 872
- 2θ 37.59, I = 1000
- 2θ 54.21, I = 423
- 2θ 61.53, I = 352
- 2θ 66.50, I = 371

Cell and atoms:
```
Pr3Mg2Pb6
1.0
-2.3936 2.3936 15.1640
2.3936 -2.3936 15.1640
2.3936 2.3936 -15.1640
Pr Mg Pb
3 2 6
direct
0.0000 0.0000 0.0000
0.1611 0.1611 0.0000
0.8389 0.8389 0.0000
0.3609 0.3609 0.0000
0.6391 0.6391 0.0000
0.0772 0.5772 0.5000
0.2667 0.2667 0.0000
0.4228 0.9228 0.5000
0.5772 0.0772 0.5000
0.7333 0.7333 0.0000
0.9228 0.4228 0.5000
```